This entry pairs a crystal structure of LaZnFeBiO6 with its theoretical PXRD pattern. Radiation: Cu Ka. Structure: a PBE+U-relaxed structure.
Intensities are scaled so that the largest is 100.

Top 10 peaks for 5 to 70 degrees two-theta, sorted by position:
h k l  d_spacing  Position (°2θ)  Rel. int.
0 1 1  4.953  17.91  42
1 0 0  4.577  19.40  31
0 1 2  3.358  26.55  55
1 1 1  2.890  30.95  100
1 1 -3  2.856  31.32  97
2 0 -2  2.775  32.26  59
1 2 -1  2.757  32.48  81
0 0 4  1.978  45.88  44
0 3 2  1.867  48.78  37
3 1 -5  1.612  57.15  39

Atomic structure:
```
data_LaZnFeBiO6
_cell_length_a 5.550
_cell_length_b 6.353
_cell_length_c 9.593
_cell_angle_alpha 90.00
_cell_angle_beta 124.45
_cell_angle_gamma 90.00
_symmetry_space_group_name_H-M 'P 1 c 1'
_symmetry_Int_Tables_number 7
loop_
_symmetry_equiv_pos_as_xyz
'x,y,z'
'x,-y,z+1/2'
loop_
_atom_site_label
_atom_site_type_symbol
_atom_site_fract_x
_atom_site_fract_y
_atom_site_fract_z
La1 La 0.000 0.154 0.000
Zn1 Zn 0.484 0.123 0.489
Fe1 Fe 0.747 0.284 0.259
Bi1 Bi 0.227 0.315 0.741
O1 O 0.066 0.075 0.306
O2 O 0.364 0.393 0.198
O3 O 0.471 0.079 0.691
O4 O 0.576 0.224 0.012
O5 O 0.820 0.212 0.488
O6 O 0.943 0.450 0.814
```